# 1
For Ce4Si2Au, a crystal structure in Alexandria, relaxed with GGA-PBE gives the theoretical powder XRD pattern in this record (Cu Kα, 1.54184 Å).

Top 8 peaks for 2θ = 10–90°, sorted by position:
2theta  Rel. int.  h k l
26.69  100  0 1 5
37.54  61  1 1 0
38.67  39  1 0 10
41.48  12  0 1 11
46.66  22  2 0 5
54.99  14  0 2 10
61.36  20  1 2 5
68.49  15  2 1 10

Structural model:
```
data_Ce4Si2Au
_chemical_formula_sum 'Ce12 Si6 Au3'
_cell_length_a 4.7919
_cell_length_b 4.7919
_cell_length_c 28.1287
_cell_angle_alpha 90.00
_cell_angle_beta 90.00
_cell_angle_gamma 120.00
_symmetry_space_group_name_H-M 'R -3 m'
_symmetry_Int_Tables_number 166
_symmetry_space_group_name_Hall '-R 3 2"'
loop_
_atom_site_label
_atom_site_type_symbol
_atom_site_fract_x
_atom_site_fract_y
_atom_site_fract_z
_atom_site_occupancy
Ce1 Ce 0.0000 0.0000 0.1156 1
Ce2 Ce 0.0000 0.0000 0.3022 1
Si1 Si 0.0000 0.0000 0.4080 1
Au1 Au 0.0000 0.0000 0.5000 1
```



# 2
For RbUInBr6, a crystal structure in Alexandria, relaxed with GGA-PBE gives the theoretical powder XRD pattern in this record (Cu Kα, 1.54184 Å).

Top 8 peaks for 2θ = 10–90°, sorted by position:
2theta  Rel. int.  h k l
12.60  26  1 0 0
12.71  40  0 0 2
14.12  44  1 0 1
17.94  80  1 0 2
25.42  100  1 1 2
33.94  99  1 1 4
36.21  33  2 1 2
38.45  50  3 0 0

Structural model:
```
data_RbUInBr6
_chemical_formula_sum 'Rb2 U2 In2 Br12'
_cell_length_a 8.1101
_cell_length_b 8.1101
_cell_length_c 13.9274
_cell_angle_alpha 90.00
_cell_angle_beta 90.00
_cell_angle_gamma 120.00
_symmetry_space_group_name_H-M 'P -3 1 c'
_symmetry_Int_Tables_number 163
_symmetry_space_group_name_Hall '-P 3 2c'
loop_
_atom_site_label
_atom_site_type_symbol
_atom_site_fract_x
_atom_site_fract_y
_atom_site_fract_z
_atom_site_occupancy
Rb1 Rb 0.0000 0.0000 0.0000 1
U1 U 0.3333 0.6667 0.2500 1
In1 In 0.3333 0.6667 0.7500 1
Br1 Br 0.0458 0.3900 0.1348 1
```



# 3
For GaRh2Au, a crystal structure in Alexandria, relaxed with GGA-PBE gives the theoretical powder XRD pattern in this record (Cu Kα, 1.54184 Å).

Top 8 peaks for 2θ = 10–90°, sorted by position:
2theta  Rel. int.  h k l
19.84  20  1 0 0
35.69  10  1 0 1
40.31  53  2 0 0
41.17  100  1 1 1
58.33  18  2 2 0
73.87  35  3 1 1
75.60  17  2 0 2
89.36  11  2 2 2

Structural model:
```
data_GaRh2Au
_chemical_formula_sum 'Ga1 Rh2 Au1'
_cell_length_a 4.4747
_cell_length_b 4.4747
_cell_length_c 3.0418
_cell_angle_alpha 90.00
_cell_angle_beta 90.00
_cell_angle_gamma 90.00
_symmetry_space_group_name_H-M 'P 4/m m m'
_symmetry_Int_Tables_number 123
_symmetry_space_group_name_Hall '-P 4 2'
loop_
_atom_site_label
_atom_site_type_symbol
_atom_site_fract_x
_atom_site_fract_y
_atom_site_fract_z
_atom_site_occupancy
Ga1 Ga 0.0000 0.0000 0.0000 1
Rh1 Rh 0.0000 0.5000 0.5000 1
Au1 Au 0.5000 0.5000 0.0000 1
```